# La2WO6
Computed powder XRD pattern, Cu Ka. Input: a DFT-relaxed cell (GGA+U, Alexandria).

Structure:
```
data_La2WO6
_chemical_formula_sum 'La8 W4 O24'
_space_group_name_H-M_alt 'P 21 21 21'
_space_group_IT_number 19
_space_group_name_Hall 'P 2ac 2ab'
_cell_length_a 5.5221
_cell_length_b 9.5274
_cell_length_c 10.4551
_cell_angle_alpha 90.00
_cell_angle_beta 90.00
_cell_angle_gamma 90.00
loop_
_atom_site_label
_atom_site_fract_x
_atom_site_fract_y
_atom_site_fract_z
La1 0.0244 0.1040 0.4592
La2 0.0300 0.2192 0.8649
W1 0.0399 0.4969 0.3549
O1 0.0748 0.8498 0.0267
O2 0.1699 0.9510 0.2836
O3 0.1804 0.6369 0.2441
O4 0.1973 0.6339 0.8231
O5 0.2204 0.1117 0.0635
O6 0.2472 0.5872 0.4912
```

Main lines, in order of rising 2θ (2θ from 5° to 70°):
d [Å], two_theta, I/Imax, h k l
4.583, 19.37, 21.1, 0 1 2
3.607, 24.68, 28.0, 1 2 0
3.527, 25.25, 55.3, 1 1 2
3.410, 26.13, 100.0, 1 2 1
2.815, 31.78, 60.4, 1 1 3
2.761, 32.43, 31.6, 2 0 0
2.714, 33.00, 27.9, 0 3 2
2.043, 44.33, 21.8, 2 3 1
1.936, 46.94, 23.7, 2 3 2
1.775, 51.48, 26.3, 1 5 1